# 1
Diffraction record for Li3Mn3P4O16. The powder XRD pattern is simulated, not measured: it uses a DFT-relaxed cell (GGA+U, the Materials Project) and copper Kα.
Intensities are scaled so that the largest is 100.

Peak list (6 most intense, 2θ from 15° to 90°, low angle first)
(hkl)  d_spacing  2θ/deg  I (rel.)
0 1 1  5.857  15.13  95
0 0 2  4.855  18.27  100
1 0 0  4.820  18.41  27
1 2 1  3.077  29.02  78
1 2 -1  2.763  32.40  29
1 -1 3  2.222  40.60  25

Atomic structure:
a b c (Å): 5.0102 6.7059 9.9029
angles (deg): 78.19 87.37 74.15
Space group P-1 (No. 2)
Asymmetric unit:
Li: 0.0000 0.0000 0.0000
Li: 0.0037 0.7919 0.5279
Mn: 0.0108 0.4346 0.1574
Mn: 0.5000 0.5000 0.0000
P: 0.4183 0.9020 0.7328
P: 0.4570 0.6840 0.2742
O: 0.2173 0.3642 0.9939
O: 0.2435 0.9778 0.6043
O: 0.2531 0.4776 0.7024
O: 0.2669 0.7966 0.8586
O: 0.2838 0.6939 0.3984
O: 0.2859 0.2374 0.2909
O: 0.2988 0.6509 0.1484
O: 0.4777 0.0923 0.7949

# 2
Diffraction record for Li2Mn3P4O14. The powder XRD pattern is simulated, not measured: it uses a DFT-relaxed cell (GGA+U, the Materials Project) and copper Kα.
Intensities are scaled so that the largest is 100.

Peak list (6 most intense, 2θ from 15° to 90°, low angle first)
(hkl)  d_spacing  2θ/deg  I (rel.)
0 1 2  3.519  25.31  91
1 2 0  3.257  27.39  49
1 -1 1  2.994  29.84  100
1 2 2  2.840  31.51  65
2 1 0  2.800  31.96  66
1 2 -1  2.700  33.18  54

Atomic structure:
a b c (Å): 5.6670 6.9960 7.5097
angles (deg): 73.96 81.95 67.67
Space group P-1 (No. 2)
Asymmetric unit:
Li: 0.1467 0.0266 0.1915
Mn: 0.2927 0.4925 0.1840
Mn: 0.5000 0.0000 0.5000
P: 0.1502 0.6889 0.5663
P: 0.3058 0.2666 0.8411
O: 0.0548 0.2624 0.9466
O: 0.1292 0.2276 0.3544
O: 0.1672 0.7293 0.3562
O: 0.2396 0.4343 0.6388
O: 0.3298 0.7636 0.6435
O: 0.4419 0.3562 0.9445
O: 0.4726 0.0627 0.7846

# 3
Diffraction record for LiMnPO4. The powder XRD pattern is simulated, not measured: it uses a DFT-relaxed cell (GGA+U, the Materials Project) and copper Kα.
Intensities are scaled so that the largest is 100.

Peak list (6 most intense, 2θ from 15° to 90°, low angle first)
(hkl)  d_spacing  2θ/deg  I (rel.)
1 1 0  4.473  19.85  100
2 0 0  4.438  20.01  62
0 0 4  3.906  22.77  94
2 1 2  3.046  29.32  18
0 2 0  2.589  34.65  31
3 1 0  2.569  34.93  40

Atomic structure:
a b c (Å): 8.8912 5.1782 15.6506
angles (deg): 90.00 93.33 90.00
Space group P2_1/c (No. 14)
Asymmetric unit:
Li: 0.1253 0.2325 0.2385
Li: 0.2964 0.2443 0.4975
Mn: 0.0784 0.7331 0.4205
Mn: 0.4106 0.7396 0.6498
P: 0.0644 0.7188 0.1122
P: 0.4078 0.7453 0.8716
O: 0.0110 0.0311 0.3243
O: 0.0484 0.2414 0.4687
O: 0.0824 0.5055 0.6496
O: 0.2156 0.6058 0.0875
O: 0.2951 0.6077 0.4270
O: 0.3581 0.7149 0.2757
O: 0.4079 0.0478 0.3958
O: 0.4307 0.1427 0.1091

# 4
Diffraction record for LiMnPO4. The powder XRD pattern is simulated, not measured: it uses a DFT-relaxed cell (GGA+U, the Materials Project) and copper Kα.
Intensities are scaled so that the largest is 100.

Peak list (6 most intense, 2θ from 15° to 90°, low angle first)
(hkl)  d_spacing  2θ/deg  I (rel.)
0 0 2  4.738  18.73  100
1 0 0  4.535  19.58  39
1 0 -2  4.457  19.92  70
0 2 0  4.115  21.60  99
1 2 -1  3.204  27.85  32
1 0 2  2.712  33.03  39

Atomic structure:
a b c (Å): 5.1075 8.2295 10.6738
angles (deg): 90.00 117.39 90.00
Space group P2_1/c (No. 14)
Asymmetric unit:
Li: 0.0571 0.0464 0.3755
Mn: 0.3322 0.1728 0.0912
P: 0.3162 0.7442 0.0696
O: 0.0293 0.6715 0.9449
O: 0.2937 0.5703 0.5594
O: 0.3195 0.6788 0.2072
O: 0.4069 0.1867 0.4429

What did the first record say?
Diffraction record for Li3Mn3P4O16. The powder XRD pattern is simulated, not measured: it uses a DFT-relaxed cell (GGA+U, the Materials Project) and copper Kα.
Intensities are scaled so that the largest is 100.

Peak list (6 most intense, 2θ from 15° to 90°, low angle first)
(hkl)  d_spacing  2θ/deg  I (rel.)
0 1 1  5.857  15.13  95
0 0 2  4.855  18.27  100
1 0 0  4.820  18.41  27
1 2 1  3.077  29.02  78
1 2 -1  2.763  32.40  29
1 -1 3  2.222  40.60  25

Atomic structure:
a b c (Å): 5.0102 6.7059 9.9029
angles (deg): 78.19 87.37 74.15
Space group P-1 (No. 2)
Asymmetric unit:
Li: 0.0000 0.0000 0.0000
Li: 0.0037 0.7919 0.5279
Mn: 0.0108 0.4346 0.1574
Mn: 0.5000 0.5000 0.0000
P: 0.4183 0.9020 0.7328
P: 0.4570 0.6840 0.2742
O: 0.2173 0.3642 0.9939
O: 0.2435 0.9778 0.6043
O: 0.2531 0.4776 0.7024
O: 0.2669 0.7966 0.8586
O: 0.2838 0.6939 0.3984
O: 0.2859 0.2374 0.2909
O: 0.2988 0.6509 0.1484
O: 0.4777 0.0923 0.7949